Starting from a structure optimized by DFT (PBE), the X-ray powder pattern of Dy6HgRh5 was simulated for Cu Kα X-rays.
Intensities are scaled so that the largest is 100.

```
Dy6HgRh5
1.0
4.877 0.000 0.000
0.000 7.040 0.000
-2.421 0.000 7.326
Dy Hg Rh
6 1 5
Direct
0.000 0.237 0.000
0.000 0.763 0.000
0.328 0.246 0.657
0.328 0.754 0.657
0.672 0.246 0.343
0.672 0.754 0.343
0.500 0.500 0.000
0.166 0.500 0.332
0.167 0.000 0.334
0.500 0.000 0.000
0.833 0.000 0.666
0.834 0.500 0.668
```

Peak list (10 most intense, 2θ from 5° to 70°, sorted by position)
| 2θ (°) | d/Å | I (rel.) | hkl |
| --- | --- | --- | --- |
| 23.0 | 3.867 | 1 | 1 1 0 |
| 25.8 | 3.451 | 2 | 1 0 1 |
| 36.5 | 2.464 | 100 | 1 2 1 |
| 36.8 | 2.440 | 49 | 2 0 -1 |
| 52.0 | 1.760 | 9 | 0 4 0 |
| 53.0 | 1.728 | 9 | 2 0 2 |
| 53.1 | 1.723 | 8 | 2 0 -4 |
| 65.4 | 1.428 | 18 | 2 4 -1 |
| 66.1 | 1.414 | 26 | 3 2 0 |
| 66.2 | 1.412 | 9 | 3 2 -3 |